# Tm2Ga9Ru3
Calculated XRD peak list, copper Kα. Input: a cell relaxed with GGA-PBE.
No peak broadening, texture or thermal motion is included.

Atomic structure:
a = 7.455 Å, b = 7.455 Å, c = 9.667 Å
α = 90.00°, β = 90.00°, γ = 60.78°
Positions (direct):
Tm: 0.002 0.675 0.750
Tm: 0.325 0.998 0.750
Tm: 0.675 0.002 0.250
Tm: 0.998 0.325 0.250
Ga: 0.008 0.662 0.078
Ga: 0.008 0.662 0.422
Ga: 0.132 0.868 0.250
Ga: 0.338 0.662 0.563
Ga: 0.338 0.662 0.937
Ga: 0.338 0.992 0.078
Ga: 0.338 0.992 0.422
Ga: 0.340 0.444 0.250
Ga: 0.444 0.340 0.750
Ga: 0.556 0.660 0.250
Ga: 0.660 0.556 0.750
Ga: 0.662 0.008 0.578
Ga: 0.662 0.008 0.922
Ga: 0.662 0.338 0.063
Ga: 0.662 0.338 0.437
Ga: 0.868 0.132 0.750
Ga: 0.992 0.338 0.578
Ga: 0.992 0.338 0.922
Ru: 0.000 0.000 0.000
Ru: 0.000 0.000 0.500
Ru: 0.323 0.323 0.000
Ru: 0.323 0.323 0.500
Ru: 0.677 0.677 0.000
Ru: 0.677 0.677 0.500

Peak list (6 most intense, 5 to 70 degrees two-theta, by angle)
- 2.450 Å, I 47
- 2.437 Å, I 100
- 2.417 Å, I 28
- 2.169 Å, I 80
- 2.143 Å, I 38
- 1.614 Å, I 30